Starting from a DFT-relaxed cell (PBE, the Materials Project), the powder diffraction line list of Ba6Ti5S15O was calculated for Cu Kα (weighted mean of Kα1 and Kα2).
Lines closer than 0.1° are merged.

Most intense lines, 2θ from 5° to 70°, in order of rising 2θ:
| 2θ/deg | I (rel.) | h k l |
| --- | --- | --- |
| 22.21 | 39.9 | 0 0 6 |
| 22.62 | 36.9 | 1 3 2 |
| 26.06 | 63.6 | 1 3 4 |
| 26.32 | 40.9 | 2 0 0 |
| 28.38 | 30.6 | 1 3 5 |
| 31.83 | 58.6 | 0 4 6 |
| 34.69 | 72.9 | 2 0 6 |
| 34.87 | 100.0 | 2 4 0 |

Crystal structure
abc: 6.7725 15.8166 24.0121
angles: 90.00 90.00 90.00
Space group C222_1 (No. 20)
Inequivalent atoms, fractional coordinates:
1 Ba 0.2000 0.1446 0.0171 (multiplicity 8)
2 Ba 0.2063 0.3916 0.8362 (multiplicity 8)
3 Ba 0.2197 0.0992 0.8221 (multiplicity 8)
4 Ti 0.1739 0.5000 0.0000 (multiplicity 4)
5 Ti 0.1921 0.2432 0.1950 (multiplicity 8)
6 Ti 0.2393 0.3717 0.0946 (multiplicity 8)
7 S 0.0000 0.2443 0.7500 (multiplicity 4)
8 S 0.0229 0.2619 0.3843 (multiplicity 8)
9 S 0.0449 0.2372 0.6098 (multiplicity 8)
10 S 0.0464 0.0141 0.5726 (multiplicity 8)
11 S 0.0464 0.4826 0.4264 (multiplicity 8)
12 S 0.2034 0.3474 0.9936 (multiplicity 8)
13 S 0.2087 0.0994 0.1962 (multiplicity 8)
14 S 0.2147 0.4117 0.1908 (multiplicity 8)
15 O 0.0000 0.2562 0.2500 (multiplicity 4)